(1)
The following is a calculated powder XRD pattern of CsK5O3. It was derived from the PBE geometry in Alexandria, using Cu Ka.
Lines closer than 0.1° are merged.

Top 10 peaks for 10 to 90 degrees two-theta, by angle:
| 2theta | d (Å) | I/Imax | (hkl) |
| --- | --- | --- | --- |
| 20.31 | 4.373 | 54 | 0 2 0 |
| 28.22 | 3.163 | 45 | 2 2 -2 |
| 28.58 | 3.123 | 50 | 0 0 3 |
| 28.79 | 3.100 | 52 | 4 0 -1 |
| 29.35 | 3.043 | 100 | 2 2 1 |
| 31.02 | 2.883 | 58 | 3 1 -3 |
| 32.23 | 2.777 | 31 | 1 3 -1 |
| 42.67 | 2.119 | 27 | 4 0 2 |
| 48.11 | 1.891 | 30 | 1 3 -4 |
| 48.31 | 1.884 | 31 | 5 3 -2 |

Cell and atoms:
abc: 12.4390 8.7432 10.1228
angles: 90.00 112.30 90.00
Space group C2/m (No. 12)
Unique sites:
Cs1 0.2352 0.0000 0.0429 x4
K1 0.0000 0.3116 0.0000 x4
K2 0.0545 0.5000 0.3741 x4
K3 0.0964 0.0000 0.2943 x4
K4 0.1744 0.1872 0.6514 x8
O1 0.0000 0.0000 0.0000 x2
O2 0.0000 0.0000 0.5000 x2
O3 0.1544 0.5000 0.1824 x4
O4 0.1745 0.5000 0.6528 x4



(2)
The following is a calculated powder XRD pattern of SiB6. It was derived from the PBE geometry in Alexandria, using Cu Ka.
Lines closer than 0.1° are merged.

Top 10 peaks for 10 to 90 degrees two-theta, by angle:
| 2theta | d (Å) | I/Imax | (hkl) |
| --- | --- | --- | --- |
| 30.59 | 2.923 | 100 | 1 1 0 |
| 37.69 | 2.387 | 54 | 1 1 1 |
| 43.80 | 2.067 | 30 | 2 0 0 |
| 49.29 | 1.849 | 36 | 2 1 0 |
| 54.37 | 1.688 | 2 | 2 1 1 |
| 63.67 | 1.461 | 4 | 2 2 0 |
| 68.04 | 1.378 | 44 | 2 2 1 |
| 72.28 | 1.307 | 30 | 3 1 0 |
| 76.42 | 1.246 | 7 | 3 1 1 |
| 88.50 | 1.105 | 9 | 3 2 1 |

Cell and atoms:
abc: 4.1336 4.1336 4.1336
angles: 90.00 90.00 90.00
Space group Pm-3m (No. 221)
Unique sites:
Si1 0.0000 0.0000 0.0000 x1
B1 0.2002 0.5000 0.5000 x6



(3)
The following is a calculated powder XRD pattern of Th3Al2Pt3. It was derived from the PBE geometry in Alexandria, using Cu Ka.
Lines closer than 0.1° are merged.

Top 10 peaks for 10 to 90 degrees two-theta, by angle:
| 2theta | d (Å) | I/Imax | (hkl) |
| --- | --- | --- | --- |
| 20.81 | 4.268 | 67 | 1 1 0 |
| 30.93 | 2.891 | 51 | 0 0 2 |
| 35.69 | 2.516 | 100 | 2 1 1 |
| 36.47 | 2.464 | 53 | 3 0 0 |
| 37.58 | 2.394 | 46 | 1 1 2 |
| 47.03 | 1.932 | 30 | 3 1 1 |
| 48.55 | 1.875 | 37 | 3 0 2 |
| 56.56 | 1.627 | 18 | 3 2 1 |
| 58.14 | 1.587 | 25 | 2 1 3 |
| 69.19 | 1.358 | 20 | 4 2 1 |

Cell and atoms:
abc: 8.5352 8.5352 5.7825
angles: 90.00 90.00 120.00
Space group P6_3/mcm (No. 193)
Unique sites:
Th1 0.0000 0.2752 0.2500 x6
Al1 0.3333 0.6667 0.0000 x4
Pt1 0.0000 0.3884 0.7500 x6



(4)
The following is a calculated powder XRD pattern of Sr8Bi3N2. It was derived from the PBE geometry in Alexandria, using Cu Ka.
Lines closer than 0.1° are merged.

Top 10 peaks for 10 to 90 degrees two-theta, by angle:
| 2theta | d (Å) | I/Imax | (hkl) |
| --- | --- | --- | --- |
| 20.62 | 4.308 | 34 | 0 1 5 |
| 23.68 | 3.758 | 61 | 1 1 0 |
| 27.95 | 3.192 | 28 | 0 0 9 |
| 28.12 | 3.174 | 55 | 2 0 2 |
| 30.19 | 2.960 | 100 | 0 2 4 |
| 31.60 | 2.832 | 43 | 2 0 5 |
| 34.11 | 2.628 | 35 | 1 0 10 |
| 48.45 | 1.879 | 39 | 2 2 0 |
| 48.73 | 1.869 | 28 | 2 1 10 |
| 56.89 | 1.619 | 31 | 2 2 9 |

Cell and atoms:
abc: 7.5154 7.5154 28.7299
angles: 90.00 90.00 120.00
Space group R-3m (No. 166, hexagonal axes)
Unique sites:
Sr1 0.0000 0.0000 0.1812 x6
Sr2 0.0041 0.5020 0.7321 x18
Bi1 0.0000 0.0000 0.2978 x6
Bi2 0.0000 0.0000 0.5000 x3
N1 0.0000 0.0000 0.0993 x6



(5)
The following is a calculated powder XRD pattern of KHg3Br3. It was derived from the PBE geometry in Alexandria, using Cu Ka.
Lines closer than 0.1° are merged.

Top 10 peaks for 10 to 90 degrees two-theta, by angle:
| 2theta | d (Å) | I/Imax | (hkl) |
| --- | --- | --- | --- |
| 14.36 | 6.166 | 96 | 1 1 0 |
| 20.37 | 4.360 | 41 | 2 0 0 |
| 22.80 | 3.900 | 63 | 2 1 0 |
| 25.01 | 3.560 | 100 | 2 1 1 |
| 32.47 | 2.758 | 29 | 3 1 0 |
| 35.67 | 2.517 | 83 | 2 2 2 |
| 38.63 | 2.331 | 64 | 3 2 1 |
| 41.42 | 2.180 | 50 | 4 0 0 |
| 60.01 | 1.542 | 33 | 4 4 0 |
| 71.81 | 1.315 | 33 | 6 2 2 |

Cell and atoms:
abc: 8.7203 8.7203 8.7203
angles: 90.00 90.00 90.00
Space group Pm-3n (No. 223)
Unique sites:
K1 0.0000 0.0000 0.0000 x2
Hg1 0.0000 0.2500 0.5000 x6
Br1 0.0000 0.5000 0.2500 x6



(6)
The following is a calculated powder XRD pattern of Ag5Pd2O4. It was derived from the PBE geometry in Alexandria, using Cu Ka.
Lines closer than 0.1° are merged.

Top 10 peaks for 10 to 90 degrees two-theta, by angle:
| 2theta | d (Å) | I/Imax | (hkl) |
| --- | --- | --- | --- |
| 14.43 | 6.139 | 44 | 0 0 2 |
| 30.40 | 2.941 | 42 | 0 3 1 |
| 33.70 | 2.660 | 31 | 1 1 2 |
| 35.29 | 2.544 | 48 | 0 2 4 |
| 35.66 | 2.517 | 42 | 1 2 1 |
| 36.20 | 2.481 | 100 | 1 0 3 |
| 36.92 | 2.435 | 39 | 0 3 3 |
| 41.55 | 2.174 | 39 | 1 3 0 |
| 44.22 | 2.048 | 78 | 0 0 6 |
| 64.28 | 1.449 | 37 | 1 2 7 |

Cell and atoms:
abc: 3.1202 9.0866 12.2785
angles: 90.00 90.00 90.00
Space group Immm (No. 71)
Unique sites:
Ag1 0.0000 0.0000 0.0000 x2
Ag2 0.0000 0.1977 0.3468 x8
Pd1 0.0000 0.5000 0.2939 x4
O1 0.0000 0.3440 0.5000 x4
O2 0.0000 0.5000 0.1340 x4



(7)
The following is a calculated powder XRD pattern of LuAg3. It was derived from the PBE geometry in Alexandria, using Cu Ka.
Lines closer than 0.1° are merged.

Top 10 peaks for 10 to 90 degrees two-theta, by angle:
| 2theta | d (Å) | I/Imax | (hkl) |
| --- | --- | --- | --- |
| 22.52 | 3.948 | 3 | 1 1 1 |
| 26.06 | 3.419 | 2 | 2 0 0 |
| 37.19 | 2.417 | 100 | 2 2 0 |
| 43.92 | 2.062 | 2 | 3 1 1 |
| 53.62 | 1.709 | 17 | 4 0 0 |
| 58.87 | 1.569 | 1 | 3 3 1 |
| 60.56 | 1.529 | 1 | 4 2 0 |
| 67.06 | 1.396 | 34 | 4 2 2 |
| 79.26 | 1.209 | 11 | 4 4 0 |
| 83.68 | 1.156 | 1 | 5 3 1 |

Cell and atoms:
abc: 6.8375 6.8375 6.8375
angles: 90.00 90.00 90.00
Space group Fm-3m (No. 225)
Unique sites:
Lu1 0.0000 0.0000 0.0000 x4
Ag1 0.0000 0.0000 0.5000 x4
Ag2 0.2500 0.2500 0.2500 x8



(8)
The following is a calculated powder XRD pattern of Ba4Pt3. It was derived from the PBE geometry in Alexandria, using Cu Ka.
Lines closer than 0.1° are merged.

Top 10 peaks for 10 to 90 degrees two-theta, by angle:
| 2theta | d (Å) | I/Imax | (hkl) |
| --- | --- | --- | --- |
| 20.05 | 4.430 | 19 | 0 0 6 |
| 22.57 | 3.940 | 18 | 1 0 3 |
| 26.84 | 3.322 | 23 | 0 0 8 |
| 28.70 | 3.111 | 100 | 1 1 0 |
| 35.26 | 2.546 | 19 | 1 1 6 |
| 36.65 | 2.452 | 37 | 1 0 9 |
| 39.69 | 2.271 | 32 | 1 1 8 |
| 41.03 | 2.200 | 38 | 2 0 0 |
| 56.18 | 1.637 | 22 | 2 1 9 |
| 67.31 | 1.391 | 18 | 3 1 0 |

Cell and atoms:
abc: 4.3991 4.3991 26.5779
angles: 90.00 90.00 90.00
Space group I4/mmm (No. 139)
Unique sites:
Ba1 0.0000 0.0000 0.0661 x4
Ba2 0.0000 0.0000 0.3060 x4
Pt1 0.0000 0.0000 0.1816 x4
Pt2 0.0000 0.0000 0.5000 x2



(9)
The following is a calculated powder XRD pattern of La2MgBiRu. It was derived from the PBE geometry in Alexandria, using Cu Ka.
Lines closer than 0.1° are merged.

Top 10 peaks for 10 to 90 degrees two-theta, by angle:
| 2theta | d (Å) | I/Imax | (hkl) |
| --- | --- | --- | --- |
| 23.99 | 3.709 | 81 | 1 0 1 |
| 29.24 | 3.054 | 100 | 1 1 1 |
| 33.28 | 2.692 | 82 | 2 0 0 |
| 35.07 | 2.559 | 36 | 0 0 2 |
| 41.45 | 2.179 | 39 | 2 1 1 |
| 47.78 | 1.904 | 30 | 2 2 0 |
| 49.13 | 1.855 | 55 | 2 0 2 |
| 57.00 | 1.616 | 31 | 3 1 1 |
| 60.63 | 1.527 | 29 | 2 2 2 |
| 79.59 | 1.204 | 26 | 4 2 0 |

Cell and atoms:
abc: 5.3842 5.3842 5.1170
angles: 90.00 90.00 90.00
Space group P4/mmm (No. 123)
Unique sites:
La1 0.0000 0.5000 0.0000 x2
Mg1 0.0000 0.0000 0.5000 x1
Bi1 0.5000 0.5000 0.5000 x1
Ru1 0.0000 0.0000 0.0000 x1



(10)
The following is a calculated powder XRD pattern of Cs2InHg6. It was derived from the PBE geometry in Alexandria, using Cu Ka.
Lines closer than 0.1° are merged.

Top 10 peaks for 10 to 90 degrees two-theta, by angle:
| 2theta | d (Å) | I/Imax | (hkl) |
| --- | --- | --- | --- |
| 13.43 | 6.592 | 12 | 0 0 1 |
| 27.54 | 3.239 | 23 | 1 1 1 |
| 27.70 | 3.221 | 19 | 2 0 0 |
| 30.47 | 2.934 | 30 | 1 0 2 |
| 30.90 | 2.894 | 100 | 0 2 1 |
| 39.10 | 2.304 | 29 | 2 0 2 |
| 48.98 | 1.860 | 25 | 2 2 0 |
| 56.41 | 1.631 | 13 | 2 1 3 |
| 59.05 | 1.564 | 14 | 4 0 1 |
| 80.18 | 1.197 | 10 | 2 4 1 |

Cell and atoms:
abc: 7.4383 7.4383 6.5919
angles: 90.00 90.00 120.00
Space group P-3m1 (No. 164)
Unique sites:
Cs1 0.3333 0.6667 0.3458 x2
In1 0.0000 0.0000 0.5000 x1
Hg1 0.1795 0.3591 0.8370 x6



(11)
The following is a calculated powder XRD pattern of Hf3MgPt2. It was derived from the PBE geometry in Alexandria, using Cu Ka.
Lines closer than 0.1° are merged.

Top 10 peaks for 10 to 90 degrees two-theta, by angle:
| 2theta | d (Å) | I/Imax | (hkl) |
| --- | --- | --- | --- |
| 10.87 | 8.139 | 33 | 0 1 0 |
| 22.59 | 3.936 | 29 | 1 1 0 |
| 32.62 | 2.745 | 61 | 1 2 1 |
| 33.64 | 2.665 | 35 | 1 0 2 |
| 35.45 | 2.532 | 97 | 1 1 2 |
| 38.76 | 2.323 | 100 | 1 3 0 |
| 40.11 | 2.248 | 70 | 2 0 0 |
| 47.25 | 1.924 | 25 | 1 1 3 |
| 47.85 | 1.901 | 38 | 1 3 2 |
| 75.84 | 1.254 | 31 | 1 1 5 |

Cell and atoms:
abc: 4.4964 8.1395 6.6159
angles: 90.00 90.00 90.00
Space group Pmc2_1 (No. 26)
Unique sites:
Hf1 0.0000 0.0710 0.0000 x2
Hf2 0.0000 0.3314 0.3577 x2
Hf3 0.5000 0.1796 0.6681 x2
Mg1 0.5000 0.4305 0.0401 x2
Pt1 0.0000 0.3444 0.7594 x2
Pt2 0.5000 0.1429 0.2699 x2



(12)
The following is a calculated powder XRD pattern of Ba12LiAu6. It was derived from the PBE geometry in Alexandria, using Cu Ka.
Lines closer than 0.1° are merged.

Top 10 peaks for 10 to 90 degrees two-theta, by angle:
| 2theta | d (Å) | I/Imax | (hkl) |
| --- | --- | --- | --- |
| 10.49 | 8.436 | 40 | 1 1 0 |
| 14.85 | 5.965 | 18 | 2 0 0 |
| 27.98 | 3.188 | 100 | 3 1 2 |
| 31.82 | 2.812 | 17 | 3 3 0 |
| 38.48 | 2.340 | 46 | 5 0 1 |
| 44.27 | 2.046 | 13 | 5 0 3 |
| 45.62 | 1.988 | 19 | 6 0 0 |
| 54.38 | 1.687 | 13 | 5 4 3 |
| 61.17 | 1.515 | 14 | 7 3 2 |
| 67.54 | 1.387 | 20 | 8 1 3 |

Cell and atoms:
abc: 11.9303 11.9303 11.9303
angles: 90.00 90.00 90.00
Space group Im-3 (No. 204)
Unique sites:
Ba1 0.0000 0.3121 0.1788 x24
Li1 0.0000 0.0000 0.0000 x2
Au1 0.0000 0.1240 0.5000 x12



(13)
The following is a calculated powder XRD pattern of Ca2Hg3Bi3. It was derived from the PBE geometry in Alexandria, using Cu Ka.
Lines closer than 0.1° are merged.

Top 10 peaks for 10 to 90 degrees two-theta, by angle:
| 2theta | d (Å) | I/Imax | (hkl) |
| --- | --- | --- | --- |
| 32.11 | 2.788 | 100 | 1 1 2 |
| 36.04 | 2.492 | 19 | 0 2 0 |
| 36.55 | 2.458 | 18 | 2 0 0 |
| 39.08 | 2.305 | 15 | 0 0 4 |
| 52.27 | 1.750 | 13 | 2 2 0 |
| 54.21 | 1.692 | 12 | 0 2 4 |
| 62.34 | 1.489 | 15 | 1 3 2 |
| 63.02 | 1.475 | 15 | 3 1 2 |
| 66.45 | 1.407 | 12 | 1 1 6 |
| 67.16 | 1.394 | 12 | 2 2 4 |

Cell and atoms:
abc: 4.9169 4.9837 9.2195
angles: 90.00 90.00 90.00
Space group Pmmm (No. 47)
Unique sites:
Ca1 0.0000 0.0000 0.2413 x2
Hg1 0.5000 0.0000 0.0000 x1
Hg2 0.5000 0.5000 0.2435 x2
Bi1 0.0000 0.5000 0.0000 x1
Bi2 0.0000 0.5000 0.5000 x1
Bi3 0.5000 0.0000 0.5000 x1